# 1
Structure and theoretical powder XRD pattern of Nb7S8 (a PBE-relaxed structure; Cu Kα).
Neutral-atom scattering factors, no anomalous dispersion.

Largest 12 diffraction maxima, by angle, 2θ = 10–80°:
15.14°, intensity 10; 20.49°, intensity 20; 27.65°, intensity 15; 30.56°, intensity 51; 33.63°, intensity 20; 41.68°, intensity 100; 43.24°, intensity 18; 48.78°, intensity 11; 54.31°, intensity 25; 57.10°, intensity 9; 66.15°, intensity 12; 70.71°, intensity 14

Unit cell a=6.7567 b=6.7567 c=6.4521 alpha=90.00 beta=90.00 gamma=120.00
Space group P3m1 (No. 156)
One atom of each set of equivalent atoms:
Nb: 0.0000 0.0000 0.0000 [1 per cell]
Nb: 0.0438 0.5219 0.9929 [3 per cell]
Nb: 0.5233 0.0465 0.4933 [3 per cell]
S: 0.1626 0.3253 0.2587 [3 per cell]
S: 0.3254 0.1627 0.7494 [3 per cell]
S: 0.3333 0.6667 0.7056 [1 per cell]
S: 0.6667 0.3333 0.2077 [1 per cell]


# 2
Structure and theoretical powder XRD pattern of Ce2Ni2SnRh5 (a PBE-relaxed structure; Cu Kα).
Neutral-atom scattering factors, no anomalous dispersion.

Largest 12 diffraction maxima, by angle, 2θ = 10–80°:
31.43°, intensity 31; 35.75°, intensity 22; 38.39°, intensity 100; 40.19°, intensity 39; 41.41°, intensity 9; 42.08°, intensity 31; 43.76°, intensity 19; 46.30°, intensity 28; 62.95°, intensity 20; 65.00°, intensity 9; 65.60°, intensity 11; 69.31°, intensity 9

Unit cell a=9.2507 b=9.2507 c=3.9220 alpha=90.00 beta=90.00 gamma=90.00
Space group P4/mbm (No. 127)
One atom of each set of equivalent atoms:
Ce: 0.1727 0.3273 0.0000 [4 per cell]
Ni: 0.1235 0.6235 0.0000 [4 per cell]
Sn: 0.0000 0.0000 0.0000 [2 per cell]
Rh: 0.0000 0.5000 0.5000 [2 per cell]
Rh: 0.0738 0.7907 0.5000 [8 per cell]


# 3
Structure and theoretical powder XRD pattern of CaHAuSeClF (a PBE-relaxed structure; Cu Kα).
Neutral-atom scattering factors, no anomalous dispersion.

Largest 12 diffraction maxima, by angle, 2θ = 10–80°:
12.68°, intensity 47; 16.46°, intensity 94; 17.06°, intensity 100; 22.77°, intensity 61; 23.03°, intensity 62; 26.92°, intensity 52; 27.11°, intensity 50; 31.30°, intensity 57; 38.71°, intensity 27; 38.82°, intensity 33; 39.62°, intensity 37; 48.07°, intensity 29

Unit cell a=4.0439 b=5.7228 c=7.6468 alpha=109.08 beta=104.09 gamma=90.36
Space group P1 (No. 1)
One atom of each set of equivalent atoms:
Ca: 0.0000 0.0000 0.0000 [1 per cell]
H: 0.6488 0.8735 0.3429 [1 per cell]
Au: 0.8323 0.3289 0.6812 [1 per cell]
Se: 0.6597 0.1315 0.3396 [1 per cell]
Cl: 0.0035 0.5066 0.0178 [1 per cell]
F: 0.4454 0.9383 0.8830 [1 per cell]


# 4
Structure and theoretical powder XRD pattern of MnFe14Si (a PBE-relaxed structure; Cu Kα).
Neutral-atom scattering factors, no anomalous dispersion.

Largest 4 diffraction maxima, by angle, 2θ = 10–80°:
11.05°, intensity 1; 22.23°, intensity 1; 45.35°, intensity 100; 66.08°, intensity 15

Unit cell a=5.6524 b=7.9978 c=8.0053 alpha=90.00 beta=90.00 gamma=90.00
Space group Cmmm (No. 65)
One atom of each set of equivalent atoms:
Mn: 0.0000 0.0000 0.0000 [2 per cell]
Fe: 0.0000 0.0000 0.5000 [2 per cell]
Fe: 0.0000 0.2513 0.2482 [8 per cell]
Fe: 0.0000 0.5000 0.5000 [2 per cell]
Fe: 0.2494 0.0000 0.2499 [8 per cell]
Fe: 0.2500 0.2500 0.0000 [4 per cell]
Fe: 0.2500 0.2500 0.5000 [4 per cell]
Si: 0.0000 0.5000 0.0000 [2 per cell]